The following is a theoretical powder XRD pattern of InSbSe2. It was derived from a PBE-relaxed structure, using λ = 1.5418 Å (Cu Kα).

Largest 10 diffraction maxima, in order of falling intensity, 10 to 90 degrees two-theta:
- 2θ 31.25, I = 100
- 2θ 30.15, I = 97
- 2θ 29.82, I = 77
- 2θ 23.27, I = 74
- 2θ 27.38, I = 71
- 2θ 40.92, I = 46
- 2θ 25.77, I = 39
- 2θ 48.67, I = 39
- 2θ 46.20, I = 39
- 2θ 39.12, I = 38

Structure:
```
data_InSbSe2
_cell_length_a 7.645
_cell_length_b 9.648
_cell_length_c 6.515
_cell_angle_alpha 90.00
_cell_angle_beta 90.00
_cell_angle_gamma 90.00
_space_group_name_H-M_alt 'P n a 21'
_space_group_IT_number 33
loop_
_space_group_symop_operation_xyz
'x,y,z'
'-x,-y,z+1/2'
'-x+1/2,y+1/2,z+1/2'
'x+1/2,-y+1/2,z'
loop_
_atom_site_label
_atom_site_fract_x
_atom_site_fract_y
_atom_site_fract_z
In1 0.011 0.112 0.000
Sb1 0.014 0.505 0.166
Se1 0.093 0.135 0.619
Se2 0.206 0.717 0.693
```